Computed powder diffractogram
Compound: Tl2Hg2Pb5
Radiation: Cu Ka
Structure: a structure optimized by DFT (PBE)
Peak positions follow from Bragg's law for the DFT cell and can differ from measured ones.

Crystal structure
abc: 5.0965 7.4887 7.8866
angles: 107.06 90.07 109.74
Element x y z (fractional)
1 Tl 0.1635 0.3285 0.4958
2 Tl 0.8365 0.6715 0.5042
3 Hg 0.2809 0.5591 0.1719
4 Hg 0.7191 0.4409 0.8281
5 Pb 0.0633 0.1304 0.8460
6 Pb 0.3889 0.7754 0.8337
7 Pb 0.5000 0.0000 0.5000
8 Pb 0.6111 0.2246 0.1663
9 Pb 0.9367 0.8696 0.1540

Peak list (8 most intense, 10 to 90 degrees two-theta, by angle)
Position (°2θ)	I_rel
31.3	100
31.7	96
35.2	37
36.0	34
38.3	29
51.2	26
53.1	23
61.0	15